Diffraction record for AcCu2SiPd2. The XRD peak list is calculated, not measured: it uses a cell relaxed with GGA-PBE and CuKα.
No peak broadening, texture or thermal motion is included.

Structure:
```
data_AcCu2SiPd2
_symmetry_space_group_name_H-M 'P 4/m m m'
_symmetry_Int_Tables_number 123
_symmetry_space_group_name_Hall '-P 4 2'
_cell_length_a 4.4275
_cell_length_b 4.4275
_cell_length_c 5.9810
_cell_angle_alpha 90.00
_cell_angle_beta 90.00
_cell_angle_gamma 90.00
loop_
_atom_site_label
_atom_site_type_symbol
_atom_site_fract_x
_atom_site_fract_y
_atom_site_fract_z
Ac1 Ac 0.0000 0.0000 0.0000
Cu1 Cu 0.0000 0.5000 0.5000
Si1 Si 0.0000 0.0000 0.5000
Pd1 Pd 0.5000 0.5000 0.2362
```

Principal peaks in the range 2θ = 5–70°, in order of rising 2θ:
d (Å)  I (rel.)  h k l
3.559  351  1 0 1
3.131  471  1 1 0
2.774  779  1 1 1
2.478  1000  1 0 2
2.214  616  2 0 0
1.880  128  2 1 1
1.818  116  1 0 3
1.682  109  1 1 3
1.651  581  2 1 2
1.565  204  2 2 0
1.405  101  2 1 3
1.363  172  3 1 1


Diffraction record for Li3Ca2Pb. The XRD peak list is calculated, not measured: it uses a cell relaxed with GGA-PBE and CuKα.
No peak broadening, texture or thermal motion is included.

Structure:
```
data_Li3Ca2Pb
_symmetry_space_group_name_H-M 'C 1 2/m 1'
_symmetry_Int_Tables_number 12
_cell_length_a 10.2043
_cell_length_b 5.9425
_cell_length_c 6.1719
_cell_angle_alpha 90.00
_cell_angle_beta 123.06
_cell_angle_gamma 90.00
loop_
_symmetry_equiv_pos_as_xyz
'x,y,z'
'-x,-y,-z'
'-x,y,-z'
'x,-y,z'
'x+1/2,y+1/2,z'
'-x+1/2,-y+1/2,-z'
'-x+1/2,y+1/2,-z'
'x+1/2,-y+1/2,z'
loop_
_atom_site_label
_atom_site_type_symbol
_atom_site_fract_x
_atom_site_fract_y
_atom_site_fract_z
Li1 Li 0.0000 0.0000 0.0000
Li2 Li 0.2500 0.2500 0.0000
Ca1 Ca 0.1249 0.5000 0.3737
Pb1 Pb 0.0000 0.0000 0.5000
```

Principal peaks in the range 2θ = 5–70°, in order of rising 2θ:
d (Å)  I (rel.)  h k l
5.172  818  0 0 1
4.880  484  1 1 0
4.837  236  2 0 -1
4.276  1000  1 1 -1
2.971  280  0 2 0
2.952  551  3 1 -1
2.655  561  1 1 -2
2.573  681  3 1 0
2.558  334  3 1 -2
2.440  197  2 2 0
1.951  168  3 1 1
1.876  151  4 2 -2


Diffraction record for Nb7Re2Mo3. The XRD peak list is calculated, not measured: it uses a cell relaxed with GGA-PBE and CuKα.
No peak broadening, texture or thermal motion is included.

Structure:
```
data_Nb7Re2Mo3
_symmetry_space_group_name_H-M 'C m m m'
_symmetry_Int_Tables_number 65
_symmetry_space_group_name_Hall '-C 2 2'
_cell_length_a 4.5440
_cell_length_b 21.9337
_cell_length_c 4.5011
_cell_angle_alpha 90.00
_cell_angle_beta 90.00
_cell_angle_gamma 90.00
loop_
_atom_site_label
_atom_site_type_symbol
_atom_site_fract_x
_atom_site_fract_y
_atom_site_fract_z
Nb1 Nb 0.0000 0.0000 0.0000
Nb2 Nb 0.0000 0.0777 0.5000
Nb3 Nb 0.0000 0.2854 0.0000
Nb4 Nb 0.0000 0.4252 0.0000
Re1 Re 0.0000 0.1472 0.0000
Mo1 Mo 0.0000 0.3512 0.5000
Mo2 Mo 0.0000 0.5000 0.5000
```

Principal peaks in the range 2θ = 5–70°, in order of rising 2θ:
d (Å)  I (rel.)  h k l
10.967  51  0 2 0
5.483  118  0 4 0
4.501  118  0 0 1
4.164  70  0 2 1
3.160  68  1 5 0
2.930  88  1 3 1
2.582  120  1 7 0
2.272  271  2 0 0
2.251  263  0 0 2
2.238  1000  1 7 1
1.599  178  2 0 2
1.567  72  0 14 0


Diffraction record for PrGe2Au3. The XRD peak list is calculated, not measured: it uses a cell relaxed with GGA-PBE and CuKα.
No peak broadening, texture or thermal motion is included.

Structure:
```
data_PrGe2Au3
_symmetry_space_group_name_H-M 'C 1 2/m 1'
_symmetry_Int_Tables_number 12
_cell_length_a 16.7189
_cell_length_b 4.5088
_cell_length_c 7.3908
_cell_angle_alpha 90.00
_cell_angle_beta 115.96
_cell_angle_gamma 90.00
loop_
_symmetry_equiv_pos_as_xyz
'x,y,z'
'-x,-y,-z'
'-x,y,-z'
'x,-y,z'
'x+1/2,y+1/2,z'
'-x+1/2,-y+1/2,-z'
'-x+1/2,y+1/2,-z'
'x+1/2,-y+1/2,z'
loop_
_atom_site_label
_atom_site_type_symbol
_atom_site_fract_x
_atom_site_fract_y
_atom_site_fract_z
Pr1 Pr 0.1411 0.0000 0.2096
Ge1 Ge 0.0104 0.5000 0.8386
Ge2 Ge 0.2057 0.0000 0.6821
Au1 Au 0.0533 0.0000 0.7201
Au2 Au 0.1281 0.5000 0.5112
Au3 Au 0.1854 0.5000 0.9462
```

Principal peaks in the range 2θ = 5–70°, in order of rising 2θ:
d (Å)  I (rel.)  h k l
6.620  256  2 0 -1
2.807  393  3 1 -2
2.686  1000  5 1 -1
2.487  672  1 1 2
2.430  317  4 0 -3
2.254  459  0 2 0
2.080  191  1 1 -3
2.075  131  3 1 2
2.065  205  6 0 1
1.901  130  8 0 -3
1.653  198  4 2 -3
1.371  127  5 3 -1


Diffraction record for K8Zr6MnBr20. The XRD peak list is calculated, not measured: it uses a cell relaxed with GGA-PBE and CuKα.
No peak broadening, texture or thermal motion is included.

Structure:
```
data_K8Zr6MnBr20
_symmetry_space_group_name_H-M 'F m -3 m'
_symmetry_Int_Tables_number 225
_symmetry_space_group_name_Hall '-F 4 2 3'
_cell_length_a 16.6985
_cell_length_b 16.6985
_cell_length_c 16.6985
_cell_angle_alpha 90.00
_cell_angle_beta 90.00
_cell_angle_gamma 90.00
loop_
_atom_site_label
_atom_site_type_symbol
_atom_site_fract_x
_atom_site_fract_y
_atom_site_fract_z
K1 K 0.1399 0.1399 0.1399
Zr1 Zr 0.0000 0.0000 0.3540
Mn1 Mn 0.0000 0.0000 0.5000
Br1 Br 0.0000 0.0000 0.1802
Br2 Br 0.0000 0.1655 0.3345
Br3 Br 0.2500 0.2500 0.2500
```

Principal peaks in the range 2θ = 5–70°, in order of rising 2θ:
d (Å)  I (rel.)  h k l
9.641  643  1 1 1
8.349  427  2 0 0
4.820  126  2 2 2
3.734  153  4 2 0
3.214  693  3 3 3
2.823  232  5 3 1
2.783  1000  6 0 0
2.640  316  6 2 0
2.174  125  5 5 3
1.968  705  6 6 0
1.678  261  9 3 3
1.607  166  6 6 6


Diffraction record for ErZnGaO4. The XRD peak list is calculated, not measured: it uses a cell relaxed with GGA-PBE and CuKα.
No peak broadening, texture or thermal motion is included.

Structure:
```
data_ErZnGaO4
_symmetry_space_group_name_H-M 'I m m a'
_symmetry_Int_Tables_number 74
_symmetry_space_group_name_Hall '-I 2b 2'
_cell_length_a 6.1673
_cell_length_b 6.4878
_cell_length_c 8.7825
_cell_angle_alpha 90.00
_cell_angle_beta 90.00
_cell_angle_gamma 90.00
loop_
_atom_site_label
_atom_site_type_symbol
_atom_site_fract_x
_atom_site_fract_y
_atom_site_fract_z
Er1 Er 0.0000 0.0000 0.0000
Zn1 Zn 0.0000 0.2500 0.3831
Ga1 Ga 0.2500 0.2500 0.7500
O1 O 0.0000 0.0322 0.7457
O2 O 0.2415 0.2500 0.9823
```

Principal peaks in the range 2θ = 5–70°, in order of rising 2θ:
d (Å)  I (rel.)  h k l
5.047  626  1 0 1
4.391  170  0 0 2
3.084  199  2 0 0
2.729  1000  1 2 1
2.668  164  0 1 3
2.655  281  2 1 1
2.645  443  1 0 3
2.609  267  0 2 2
2.524  282  2 0 2
2.235  319  2 2 0
1.703  260  3 2 1
1.566  504  2 2 4


Diffraction record for Sm6Dy3Ho. The XRD peak list is calculated, not measured: it uses a cell relaxed with GGA-PBE and CuKα.
No peak broadening, texture or thermal motion is included.

Structure:
```
data_Sm6Dy3Ho
_symmetry_space_group_name_H-M 'C m c 21'
_symmetry_Int_Tables_number 36
_cell_length_a 10.9980
_cell_length_b 19.2015
_cell_length_c 6.2915
_cell_angle_alpha 90.00
_cell_angle_beta 90.00
_cell_angle_gamma 90.00
loop_
_symmetry_equiv_pos_as_xyz
'x,y,z'
'-x,-y,z+1/2'
'-x,y,z'
'x,-y,z+1/2'
'x+1/2,y+1/2,z'
'-x+1/2,-y+1/2,z+1/2'
'-x+1/2,y+1/2,z'
'x+1/2,-y+1/2,z+1/2'
loop_
_atom_site_label
_atom_site_type_symbol
_atom_site_fract_x
_atom_site_fract_y
_atom_site_fract_z
Sm1 Sm 0.0000 0.0399 0.0000
Sm2 Sm 0.0000 0.2783 0.2520
Sm3 Sm 0.1675 0.4566 0.3524
Sm4 Sm 0.2358 0.2899 0.5357
Dy1 Dy 0.0000 0.3864 0.8217
Dy2 Dy 0.1691 0.1130 0.4339
Ho1 Ho 0.0000 0.1989 0.7766
```

Principal peaks in the range 2θ = 5–70°, in order of rising 2θ:
d (Å)  I (rel.)  h k l
3.181  195  3 3 0
3.138  765  0 0 2
3.125  407  3 1 1
2.988  292  0 2 2
2.852  1000  0 6 1
2.839  587  3 3 1
2.731  251  2 0 2
2.652  254  3 5 0
2.627  576  2 2 2
2.532  164  2 6 1
1.814  199  2 4 3
1.542  190  6 6 1


Diffraction record for Ce4TlC2. The XRD peak list is calculated, not measured: it uses a cell relaxed with GGA-PBE and CuKα.
No peak broadening, texture or thermal motion is included.

Structure:
```
data_Ce4TlC2
_symmetry_space_group_name_H-M 'F d d d'
_symmetry_Int_Tables_number 70
_cell_length_a 9.0766
_cell_length_b 10.9865
_cell_length_c 13.2635
_cell_angle_alpha 90.00
_cell_angle_beta 90.00
_cell_angle_gamma 90.00
loop_
_symmetry_equiv_pos_as_xyz
'x,y,z'
'-x,-y,-z'
'-x+1/4,-y+1/4,z'
'x+1/4,y+1/4,-z'
'x,-y+1/4,-z+1/4'
'-x,y+1/4,z+1/4'
'-x+1/4,y,-z+1/4'
'x+1/4,-y,z+1/4'
'x,y+1/2,z+1/2'
'-x,-y+1/2,-z+1/2'
'-x+1/4,-y+3/4,z+1/2'
'x+1/4,y+3/4,-z+1/2'
'x,-y+3/4,-z+3/4'
'-x,y+3/4,z+3/4'
'-x+1/4,y+1/2,-z+3/4'
'x+1/4,-y+1/2,z+3/4'
'x+1/2,y,z+1/2'
'-x+1/2,-y,-z+1/2'
'-x+3/4,-y+1/4,z+1/2'
'x+3/4,y+1/4,-z+1/2'
'x+1/2,-y+1/4,-z+3/4'
'-x+1/2,y+1/4,z+3/4'
'-x+3/4,y,-z+3/4'
'x+3/4,-y,z+3/4'
'x+1/2,y+1/2,z'
'-x+1/2,-y+1/2,-z'
'-x+3/4,-y+3/4,z'
'x+3/4,y+3/4,-z'
'x+1/2,-y+3/4,-z+1/4'
'-x+1/2,y+3/4,z+1/4'
'-x+3/4,y+1/2,-z+1/4'
'x+3/4,-y+1/2,z+1/4'
loop_
_atom_site_label
_atom_site_type_symbol
_atom_site_fract_x
_atom_site_fract_y
_atom_site_fract_z
Ce1 Ce 0.0256 0.2834 0.4458
Tl1 Tl 0.1250 0.1250 0.6250
C1 C 0.0000 0.0000 0.0000
```

Principal peaks in the range 2θ = 5–70°, in order of rising 2θ:
d (Å)  I (rel.)  h k l
4.230  931  0 2 2
3.094  909  2 2 2
2.849  984  3 1 1
2.693  1000  1 3 3
2.480  665  1 1 5
2.435  270  3 1 3
2.407  170  2 2 4
2.215  218  2 4 2
2.108  376  1 5 1
1.917  276  2 4 4
1.750  295  4 4 0
1.476  192  6 0 2


Diffraction record for Nd5Ag2Rh2. The XRD peak list is calculated, not measured: it uses a cell relaxed with GGA-PBE and CuKα.
No peak broadening, texture or thermal motion is included.

Structure:
```
data_Nd5Ag2Rh2
_symmetry_space_group_name_H-M 'I m a 2'
_symmetry_Int_Tables_number 46
_cell_length_a 19.8374
_cell_length_b 6.4764
_cell_length_c 7.4486
_cell_angle_alpha 90.00
_cell_angle_beta 90.00
_cell_angle_gamma 90.00
loop_
_symmetry_equiv_pos_as_xyz
'x,y,z'
'-x,-y,z'
'-x+1/2,y,z'
'x+1/2,-y,z'
'x+1/2,y+1/2,z+1/2'
'-x+1/2,-y+1/2,z+1/2'
'-x,y+1/2,z+1/2'
'x,-y+1/2,z+1/2'
loop_
_atom_site_label
_atom_site_type_symbol
_atom_site_fract_x
_atom_site_fract_y
_atom_site_fract_z
Nd1 Nd 0.0760 0.1620 0.0000
Nd2 Nd 0.1614 0.6590 0.1349
Nd3 Nd 0.2500 0.1502 0.2776
Ag1 Ag 0.0559 0.6257 0.8443
Rh1 Rh 0.0000 0.0000 0.7008
Rh2 Rh 0.2500 0.5533 0.4363
```

Principal peaks in the range 2θ = 5–70°, in order of rising 2θ:
d (Å)  I (rel.)  h k l
3.383  267  5 1 0
2.978  245  4 0 2
2.937  435  1 2 1
2.901  707  3 1 2
2.738  612  6 1 1
2.709  1000  3 2 1
2.596  216  7 1 0
2.504  307  5 1 2
2.473  468  6 0 2
2.374  285  2 2 2
2.318  364  0 1 3
2.258  191  2 1 3


Diffraction record for Sr8Ga2Hg. The XRD peak list is calculated, not measured: it uses a cell relaxed with GGA-PBE and CuKα.
No peak broadening, texture or thermal motion is included.

Structure:
```
data_Sr8Ga2Hg
_symmetry_space_group_name_H-M 'C 1 2/m 1'
_symmetry_Int_Tables_number 12
_cell_length_a 20.4144
_cell_length_b 5.6359
_cell_length_c 7.9495
_cell_angle_alpha 90.00
_cell_angle_beta 107.93
_cell_angle_gamma 90.00
loop_
_symmetry_equiv_pos_as_xyz
'x,y,z'
'-x,-y,-z'
'-x,y,-z'
'x,-y,z'
'x+1/2,y+1/2,z'
'-x+1/2,-y+1/2,-z'
'-x+1/2,y+1/2,-z'
'x+1/2,-y+1/2,z'
loop_
_atom_site_label
_atom_site_type_symbol
_atom_site_fract_x
_atom_site_fract_y
_atom_site_fract_z
Sr1 Sr 0.0354 0.0000 0.2919
Sr2 Sr 0.0971 0.5000 0.9520
Sr3 Sr 0.1711 0.5000 0.4652
Sr4 Sr 0.2047 0.0000 0.8188
Ga1 Ga 0.1844 0.0000 0.2068
Hg1 Hg 0.0000 0.5000 0.5000
```

Principal peaks in the range 2θ = 5–70°, in order of rising 2θ:
d (Å)  I (rel.)  h k l
3.257  667  5 1 -1
3.234  633  1 1 -2
3.203  222  2 0 2
2.982  550  1 1 2
2.819  1000  0 2 0
2.710  208  5 1 1
2.691  174  6 0 1
2.586  218  4 0 -3
2.391  156  3 1 -3
1.740  165  11 1 -2
1.699  164  5 3 -1
1.569  211  7 1 3


Diffraction record for HgPd8Au5. The XRD peak list is calculated, not measured: it uses a cell relaxed with GGA-PBE and CuKα.
No peak broadening, texture or thermal motion is included.

Structure:
```
data_HgPd8Au5
_symmetry_space_group_name_H-M 'C 1 2 1'
_symmetry_Int_Tables_number 5
_cell_length_a 8.1239
_cell_length_b 6.9009
_cell_length_c 9.6772
_cell_angle_alpha 90.00
_cell_angle_beta 114.75
_cell_angle_gamma 90.00
loop_
_symmetry_equiv_pos_as_xyz
'x,y,z'
'-x,y,-z'
'x+1/2,y+1/2,z'
'-x+1/2,y+1/2,-z'
loop_
_atom_site_label
_atom_site_type_symbol
_atom_site_fract_x
_atom_site_fract_y
_atom_site_fract_z
Hg1 Hg 0.0000 0.0000 0.0000
Pd1 Pd 0.0079 0.0561 0.6974
Pd2 Pd 0.1004 0.6817 0.2616
Pd3 Pd 0.1572 0.4275 0.7621
Pd4 Pd 0.1973 0.3045 0.2052
Au1 Au 0.0000 0.7380 0.5000
Au2 Au 0.1736 0.3832 0.4829
Au3 Au 0.1867 0.6270 0.0196
```

Principal peaks in the range 2θ = 5–70°, in order of rising 2θ:
d (Å)  I (rel.)  h k l
4.394  105  0 0 2
3.212  366  0 2 1
2.316  1000  3 1 -3
2.266  268  1 1 3
2.257  676  2 2 1
2.233  371  0 2 3
2.196  839  0 0 4
2.049  385  3 1 1
1.575  115  5 1 -3
1.563  152  2 4 0
1.464  138  1 3 4
1.350  135  3 1 4


Diffraction record for Pa2Ni5Pt4. The XRD peak list is calculated, not measured: it uses a cell relaxed with GGA-PBE and CuKα.
No peak broadening, texture or thermal motion is included.

Structure:
```
data_Pa2Ni5Pt4
_symmetry_space_group_name_H-M 'F m m m'
_symmetry_Int_Tables_number 69
_symmetry_space_group_name_Hall '-F 2 2'
_cell_length_a 5.0635
_cell_length_b 8.6887
_cell_length_c 16.7048
_cell_angle_alpha 90.00
_cell_angle_beta 90.00
_cell_angle_gamma 90.00
loop_
_atom_site_label
_atom_site_type_symbol
_atom_site_fract_x
_atom_site_fract_y
_atom_site_fract_z
Pa1 Pa 0.0000 0.0000 0.1239
Ni1 Ni 0.0000 0.0000 0.5000
Ni2 Ni 0.2500 0.2500 0.0000
Ni3 Ni 0.2500 0.2500 0.2500
Pt1 Pt 0.0000 0.1648 0.3725
```

Principal peaks in the range 2θ = 5–70°, in order of rising 2θ:
d (Å)  I (rel.)  h k l
4.176  1000  0 0 4
2.532  375  2 0 0
2.486  852  1 3 1
2.291  971  1 3 3
2.165  919  2 0 4
2.088  489  0 0 8
2.009  590  1 3 5
1.731  330  1 3 7
1.611  196  2 0 8
1.453  167  3 3 1
1.411  213  3 3 3
1.368  212  0 6 4